Simulated powder diffractogram of TbHoSO2 for Cu Ka, from a crystal structure in OQMD, relaxed with GGA-PBE.
Kinematic intensities with the Lorentz-polarization factor, no thermal factor.

a b c (Å): 3.7898 3.7898 6.5760
angles (deg): 90.00 90.00 120.00
Space group P3m1 (No. 156)
One atom of each set of equivalent atoms:
Tb 0.0000 0.0000 0.0000 (multiplicity 1)
Ho 0.6667 0.3333 0.4358 (multiplicity 1)
S 0.3333 0.6667 0.7166 (multiplicity 1)
O 0.0000 0.0000 0.3501 (multiplicity 1)
O 0.6667 0.3333 0.0909 (multiplicity 1)

Main lines, in order of rising 2θ (10° ≤ 2θ ≤ 80°):
2θ 27.1, I 43; 2θ 30.4, I 100; 2θ 38.8, I 30; 2θ 48.0, I 30; 2θ 50.0, I 25; 2θ 56.0, I 21; 2θ 57.9, I 17; 2θ 63.3, I 15; 2θ 71.9, I 9; 2θ 78.5, I 14